The following is a theoretical powder diffractogram of Al2VFePb. It was derived from a crystal structure in Alexandria, relaxed with GGA-PBE, using a wavelength of 1.5418 Å.

Atomic structure:
```
data_Al2VFePb
_chemical_formula_sum 'Al2 V1 Fe1 Pb1'
_cell_length_a 4.782
_cell_length_b 4.782
_cell_length_c 5.111
_cell_angle_alpha 90.00
_cell_angle_beta 90.00
_cell_angle_gamma 90.00
_space_group_name_H-M_alt 'P 4/m m m'
_space_group_IT_number 123
_space_group_name_Hall '-P 4 2'
loop_
_atom_site_label
_atom_site_type_symbol
_atom_site_fract_x
_atom_site_fract_y
_atom_site_fract_z
_atom_site_occupancy
Al1 Al 0.000 0.500 0.000 1
V1 V 0.000 0.000 0.000 1
Fe1 Fe 0.500 0.500 0.500 1
Pb1 Pb 0.000 0.000 0.500 1
```

Peak list (12 most intense, 15° ≤ 2θ ≤ 90°, in order of rising 2θ)
| d/Å | Rel. int. | index |
| --- | --- | --- |
| 5.111 | 34 | 0 0 1 |
| 4.782 | 97 | 1 0 0 |
| 3.382 | 75 | 1 1 0 |
| 2.820 | 100 | 1 1 1 |
| 2.556 | 36 | 0 0 2 |
| 2.391 | 60 | 2 0 0 |
| 2.254 | 29 | 1 0 2 |
| 2.139 | 25 | 2 1 0 |
| 2.039 | 37 | 1 1 2 |
| 1.746 | 45 | 2 0 2 |
| 1.450 | 27 | 3 1 1 |
| 1.410 | 22 | 2 2 2 |